Diffraction record for Li3SnP6O18. The XRD peak list is calculated, not measured: it uses DFT lattice parameters and positions (PBE) and a wavelength of 1.5418 Å.
Neutral-atom scattering factors, no anomalous dispersion.

The 10 most intense peaks (15° ≤ 2θ ≤ 90°), by intensity:
- 3.636 Å, intensity 100, (1 -2 1)
- 5.742 Å, intensity 94, (1 0 -1)
- 2.830 Å, intensity 80, (-1 1 2)
- 3.138 Å, intensity 78, (1 -1 2)
- 3.443 Å, intensity 74, (1 1 -2)
- 3.799 Å, intensity 67, (0 1 -2)
- 4.275 Å, intensity 63, (-1 1 1)
- 3.531 Å, intensity 57, (1 0 -2)
- 4.253 Å, intensity 53, (1 1 -1)
- 4.821 Å, intensity 53, (1 -1 1)

Structural model:
Unit cell a=7.321 b=7.562 c=7.739 alpha=111.00 beta=99.56 gamma=109.76
Space group P1 (No. 1)
Unique sites:
Li 0.000 0.000 0.000 x1
Li 0.060 0.409 0.324 x1
Li 0.877 0.561 0.613 x1
Sn 0.565 0.617 0.107 x1
P 0.051 0.876 0.382 x1
P 0.168 0.306 0.671 x1
P 0.375 0.875 0.892 x1
P 0.382 0.228 0.393 x1
P 0.604 0.831 0.618 x1
P 0.711 0.232 0.923 x1
O 0.016 0.679 0.401 x1
O 0.030 0.373 0.571 x1
O 0.067 0.052 0.588 x1
O 0.156 0.820 0.875 x1
O 0.235 0.248 0.248 x1
O 0.240 0.401 0.893 x1
O 0.271 0.981 0.361 x1
O 0.374 0.349 0.612 x1
O 0.398 0.765 0.680 x1
O 0.489 0.121 0.945 x1
O 0.509 0.840 0.038 x1
O 0.525 0.735 0.397 x1
O 0.602 0.295 0.410 x1
O 0.676 0.082 0.698 x1
O 0.724 0.440 0.933 x1
O 0.761 0.785 0.719 x1
O 0.878 0.224 0.055 x1
O 0.886 0.861 0.218 x1